1.
Tb2NdHoTm4: simulated powder diffraction line list (Cu Ka), based on DFT lattice parameters and positions (PBE).
No peak broadening, texture or thermal motion is included.

```
data_Tb2NdHoTm4
_chemical_formula_sum 'Tb8 Nd4 Ho4 Tm16'
_cell_length_a 6.757
_cell_length_b 11.689
_cell_length_c 13.222
_cell_angle_alpha 90.00
_cell_angle_beta 90.00
_cell_angle_gamma 90.00
_symmetry_space_group_name_H-M 'I m m a'
_symmetry_Int_Tables_number 74
_symmetry_space_group_name_Hall '-I 2b 2'
loop_
_atom_site_label
_atom_site_fract_x
_atom_site_fract_y
_atom_site_fract_z
Tb1 0.000 0.000 0.000
Tb2 0.250 0.250 0.250
Nd1 0.000 0.000 0.500
Ho1 0.250 0.250 0.750
Tm1 0.000 0.001 0.751
Tm2 0.249 0.250 0.999
```

Largest 12 diffraction maxima, most intense first, 2θ = 10–90°:
Position (°2θ)  d/Å  I_rel
30.57  2.924  100.0
41.22  2.190  89.3
26.97  3.306  45.9
61.70  1.503  27.3
64.80  1.439  23.5
54.34  1.688  20.0
81.50  1.181  12.5
70.40  1.337  12.3
89.50  1.095  10.3
63.62  1.463  8.3
88.43  1.105  7.0
55.61  1.653  6.2

=====

2.
Tb2NdHoTm2: simulated powder diffraction line list (Cu Ka), based on DFT lattice parameters and positions (PBE).
No peak broadening, texture or thermal motion is included.

```
data_Tb2NdHoTm2
_chemical_formula_sum 'Tb4 Nd2 Ho2 Tm4'
_cell_length_a 6.926
_cell_length_b 16.055
_cell_length_c 3.507
_cell_angle_alpha 90.00
_cell_angle_beta 90.00
_cell_angle_gamma 90.00
_symmetry_space_group_name_H-M 'P n n m'
_symmetry_Int_Tables_number 58
loop_
_symmetry_equiv_pos_as_xyz
'x,y,z'
'-x,-y,-z'
'-x,-y,z'
'x,y,-z'
'x+1/2,-y+1/2,-z+1/2'
'-x+1/2,y+1/2,z+1/2'
'-x+1/2,y+1/2,-z+1/2'
'x+1/2,-y+1/2,z+1/2'
loop_
_atom_site_label
_atom_site_fract_x
_atom_site_fract_y
_atom_site_fract_z
Tb1 0.248 0.159 0.000
Nd1 0.000 0.500 0.000
Ho1 0.000 0.000 0.500
Tm1 0.249 0.345 0.500
```

Largest 12 diffraction maxima, most intense first, 2θ = 10–90°:
Position (°2θ)  d/Å  I_rel
30.48  2.933  100.0
36.91  2.435  59.6
34.20  2.622  47.5
28.06  3.180  43.5
33.49  2.676  36.2
54.67  1.679  30.3
63.89  1.457  26.5
62.27  1.491  26.3
88.55  1.104  15.1
46.46  1.955  14.0
58.01  1.590  13.7
40.30  2.238  11.7

=====

3.
Tb2Nd5YHo: simulated powder diffraction line list (Cu Ka), based on DFT lattice parameters and positions (PBE).
No peak broadening, texture or thermal motion is included.

```
data_Tb2Nd5YHo
_chemical_formula_sum 'Tb8 Nd20 Y4 Ho4'
_cell_length_a 5.673
_cell_length_b 20.527
_cell_length_c 10.689
_cell_angle_alpha 90.00
_cell_angle_beta 90.00
_cell_angle_gamma 90.00
_symmetry_space_group_name_H-M 'C m c 21'
_symmetry_Int_Tables_number 36
loop_
_symmetry_equiv_pos_as_xyz
'x,y,z'
'-x,-y,z+1/2'
'-x,y,z'
'x,-y,z+1/2'
'x+1/2,y+1/2,z'
'-x+1/2,-y+1/2,z+1/2'
'-x+1/2,y+1/2,z'
'x+1/2,-y+1/2,z+1/2'
loop_
_atom_site_label
_atom_site_fract_x
_atom_site_fract_y
_atom_site_fract_z
Tb1 0.000 0.113 0.000
Tb2 0.000 0.115 0.572
Nd1 0.000 0.015 0.279
Nd2 0.000 0.278 0.576
Nd3 0.000 0.297 0.970
Nd4 0.000 0.385 0.284
Nd5 0.000 0.483 0.007
Y1 0.000 0.407 0.725
Ho1 0.000 0.199 0.274
```

Largest 12 diffraction maxima, most intense first, 2θ = 10–90°:
Position (°2θ)  d/Å  I_rel
31.69  2.824  100.0
29.93  2.985  37.5
31.54  2.836  37.1
56.26  1.635  19.6
27.37  3.258  16.8
33.54  2.672  14.1
55.20  1.664  13.3
60.62  1.528  12.3
58.12  1.587  11.9
46.70  1.945  11.2
50.33  1.813  10.8
42.24  2.139  10.5

=====

4.
TbNd2Y2Ho: simulated powder diffraction line list (Cu Ka), based on DFT lattice parameters and positions (PBE).
No peak broadening, texture or thermal motion is included.

```
data_TbNd2Y2Ho
_chemical_formula_sum 'Tb2 Nd4 Y4 Ho2'
_cell_length_a 6.641
_cell_length_b 18.044
_cell_length_c 3.394
_cell_angle_alpha 90.00
_cell_angle_beta 90.00
_cell_angle_gamma 90.00
_symmetry_space_group_name_H-M 'P n n m'
_symmetry_Int_Tables_number 58
loop_
_symmetry_equiv_pos_as_xyz
'x,y,z'
'-x,-y,-z'
'-x,-y,z'
'x,y,-z'
'x+1/2,-y+1/2,-z+1/2'
'-x+1/2,y+1/2,z+1/2'
'-x+1/2,y+1/2,-z+1/2'
'x+1/2,-y+1/2,z+1/2'
loop_
_atom_site_label
_atom_site_fract_x
_atom_site_fract_y
_atom_site_fract_z
Tb1 0.000 0.000 0.000
Nd1 0.232 0.317 0.000
Y1 0.228 0.147 0.500
Ho1 0.000 0.500 0.000
```

Largest 12 diffraction maxima, most intense first, 2θ = 10–90°:
Position (°2θ)  d/Å  I_rel
28.65  3.116  100.0
29.71  3.007  70.2
30.24  2.956  54.7
33.51  2.674  54.0
31.21  2.866  48.3
40.88  2.208  47.2
35.76  2.511  41.2
29.56  3.022  32.1
65.11  1.433  28.2
42.40  2.132  25.4
62.30  1.490  22.1
26.73  3.335  21.2

=====

5.
TbNd5Y2Ho: simulated powder diffraction line list (Cu Ka), based on DFT lattice parameters and positions (PBE).
No peak broadening, texture or thermal motion is included.

```
data_TbNd5Y2Ho
_chemical_formula_sum 'Tb4 Nd20 Y8 Ho4'
_cell_length_a 5.686
_cell_length_b 20.464
_cell_length_c 10.712
_cell_angle_alpha 90.00
_cell_angle_beta 90.00
_cell_angle_gamma 90.00
_symmetry_space_group_name_H-M 'C m c 21'
_symmetry_Int_Tables_number 36
loop_
_symmetry_equiv_pos_as_xyz
'x,y,z'
'-x,-y,z+1/2'
'-x,y,z'
'x,-y,z+1/2'
'x+1/2,y+1/2,z'
'-x+1/2,-y+1/2,z+1/2'
'-x+1/2,y+1/2,z'
'x+1/2,-y+1/2,z+1/2'
loop_
_atom_site_label
_atom_site_fract_x
_atom_site_fract_y
_atom_site_fract_z
Tb1 0.000 0.200 0.000
Nd1 0.000 0.017 0.009
Nd2 0.000 0.281 0.301
Nd3 0.000 0.297 0.695
Nd4 0.000 0.388 0.012
Nd5 0.000 0.482 0.734
Y1 0.000 0.112 0.727
Y2 0.000 0.115 0.303
Ho1 0.000 0.409 0.452
```

Largest 12 diffraction maxima, most intense first, 2θ = 10–90°:
Position (°2θ)  d/Å  I_rel
31.70  2.823  100.0
31.47  2.843  37.1
29.87  2.991  32.0
56.17  1.637  19.6
27.44  3.250  15.7
33.46  2.678  13.3
58.22  1.585  11.3
60.54  1.529  10.7
46.59  1.949  10.6
42.24  2.140  9.9
50.29  1.814  9.4
11.96  7.399  7.6

=====

6.
TbNd2Y6Ho3: simulated powder diffraction line list (Cu Ka), based on DFT lattice parameters and positions (PBE).
No peak broadening, texture or thermal motion is included.

```
data_TbNd2Y6Ho3
_chemical_formula_sum 'Tb2 Nd4 Y12 Ho6'
_cell_length_a 6.201
_cell_length_b 10.729
_cell_length_c 11.838
_cell_angle_alpha 90.00
_cell_angle_beta 100.00
_cell_angle_gamma 90.00
_symmetry_space_group_name_H-M 'C 1 2/m 1'
_symmetry_Int_Tables_number 12
loop_
_symmetry_equiv_pos_as_xyz
'x,y,z'
'-x,-y,-z'
'-x,y,-z'
'x,-y,z'
'x+1/2,y+1/2,z'
'-x+1/2,-y+1/2,-z'
'-x+1/2,y+1/2,-z'
'x+1/2,-y+1/2,z'
loop_
_atom_site_label
_atom_site_fract_x
_atom_site_fract_y
_atom_site_fract_z
Tb1 0.000 0.000 0.000
Nd1 0.000 0.333 0.000
Y1 0.248 0.000 0.747
Y2 0.249 0.334 0.747
Ho1 0.000 0.167 0.500
Ho2 0.000 0.500 0.500
```

Largest 12 diffraction maxima, most intense first, 2θ = 10–90°:
Position (°2θ)  d/Å  I_rel
30.62  2.919  100.0
35.51  2.528  50.4
51.08  1.788  29.5
60.72  1.525  24.5
60.80  1.523  17.4
63.73  1.460  9.0
83.23  1.161  8.6
15.20  5.829  8.5
83.36  1.159  7.1
51.15  1.786  5.9
29.27  3.051  5.7
85.89  1.132  5.3